No. 1
Structure and simulated powder diffractogram of Pm3Ho6Er2Tm (a cell relaxed with GGA-PBE; Cu Kα X-rays).

abc: 6.1485 6.1485 11.7447
angles: 95.00 95.00 119.96
Atoms (fractional coordinates):
Pm (0.0000, 0.0000, 0.0000)
Pm (0.3334, 0.6666, 0.0000)
Pm (0.6666, 0.3334, 0.0000)
Ho (0.0849, 0.4181, 0.2540)
Ho (0.2487, 0.2487, 0.7460)
Ho (0.4181, 0.0849, 0.2540)
Ho (0.5819, 0.9151, 0.7460)
Ho (0.7513, 0.7513, 0.2540)
Ho (0.9151, 0.5819, 0.7460)
Er (0.1666, 0.8334, 0.5000)
Er (0.8334, 0.1666, 0.5000)
Tm (0.5000, 0.5000, 0.5000)

Principal peaks in the range 2θ from 15° to 90°, in order of falling intensity:
30.9 deg, I = 100; 35.8 deg, I = 51; 61.3 deg, I = 32; 51.5 deg, I = 18; 51.6 deg, I = 18; 61.4 deg, I = 11; 64.3 deg, I = 9; 84.0 deg, I = 9

---

No. 2
Structure and simulated powder diffractogram of Pm2Ho4ErTm2 (a cell relaxed with GGA-PBE; Cu Kα X-rays).

abc: 5.9676 6.5852 8.5392
angles: 79.79 70.16 64.75
Atoms (fractional coordinates):
Pm (0.2324, 0.3234, 0.3423)
Pm (0.7676, 0.6766, 0.6577)
Ho (0.1154, 0.1272, 0.7629)
Ho (0.2407, 0.5740, 0.8844)
Ho (0.7593, 0.4260, 0.1156)
Ho (0.8846, 0.8728, 0.2371)
Er (0.5000, 0.0000, 0.0000)
Tm (0.3210, 0.7705, 0.4455)
Tm (0.6790, 0.2295, 0.5545)

Principal peaks in the range 2θ from 15° to 90°, in order of falling intensity:
32.1 deg, I = 100; 32.5 deg, I = 95; 31.7 deg, I = 58; 30.0 deg, I = 41; 59.0 deg, I = 20; 56.4 deg, I = 20; 57.2 deg, I = 18; 48.4 deg, I = 17

---

No. 3
Structure and simulated powder diffractogram of Pm2Ho2ErTm (a cell relaxed with GGA-PBE; Cu Kα X-rays).

abc: 6.9653 5.6121 9.7227
angles: 90.00 90.00 90.00
Atoms (fractional coordinates):
Pm (0.0000, 0.0000, 0.0000)
Pm (0.2500, 0.5000, 0.1778)
Pm (0.5000, 0.0000, 0.0000)
Pm (0.7500, 0.5000, 0.8222)
Ho (0.2500, 0.0000, 0.3318)
Ho (0.2500, 0.5000, 0.8369)
Ho (0.7500, 0.0000, 0.6682)
Ho (0.7500, 0.5000, 0.1631)
Er (0.2500, 0.0000, 0.6588)
Er (0.7500, 0.0000, 0.3412)
Tm (0.0000, 0.5000, 0.5000)
Tm (0.5000, 0.5000, 0.5000)

Principal peaks in the range 2θ from 15° to 90°, in order of falling intensity:
31.9 deg, I = 100; 31.6 deg, I = 91; 56.6 deg, I = 35; 45.5 deg, I = 33; 62.8 deg, I = 29; 56.8 deg, I = 19; 75.6 deg, I = 15; 81.1 deg, I = 14

---

No. 4
Structure and simulated powder diffractogram of PmHo2ErTm (a cell relaxed with GGA-PBE; Cu Kα X-rays).

abc: 7.0533 7.0533 7.1749
angles: 90.00 90.00 107.62
Atoms (fractional coordinates):
Pm (0.2283, 0.7717, 0.7500)
Pm (0.7717, 0.2283, 0.2500)
Ho (0.1912, 0.1912, 0.0000)
Ho (0.1912, 0.1912, 0.5000)
Ho (0.8088, 0.8088, 0.0000)
Ho (0.8088, 0.8088, 0.5000)
Er (0.2220, 0.7780, 0.2500)
Er (0.7780, 0.2220, 0.7500)
Tm (0.4992, 0.5008, 0.2500)
Tm (0.5008, 0.4992, 0.7500)

Principal peaks in the range 2θ from 15° to 90°, in order of falling intensity:
33.0 deg, I = 100; 46.2 deg, I = 66; 31.4 deg, I = 61; 36.1 deg, I = 55; 29.4 deg, I = 54; 26.5 deg, I = 46; 40.2 deg, I = 40; 66.6 deg, I = 33